1.
The following is a computed powder diffractogram of La2Er2Mg. It was derived from a GGA-PBE-relaxed structure, using Cu Kα (weighted mean of Kα1 and Kα2).
Peak positions follow from Bragg's law for the DFT cell and can differ from measured ones.

The 6 most intense peaks (10 to 80 degrees two-theta), sorted by position:
2θ = 30.68°, rel. 100; 2θ = 34.94°, rel. 36; 2θ = 36.81°, rel. 15; 2θ = 51.66°, rel. 23; 2θ = 59.98°, rel. 15; 2θ = 60.09°, rel. 15

Atomic structure:
abc: 24.681 3.625 3.637
angles: 90.00 98.42 90.00
Sites, in units of the cell vectors:
La: 0.096 0.000 0.096
La: 0.404 0.500 0.904
La: 0.596 0.500 0.096
La: 0.904 0.000 0.904
Er: 0.201 0.500 0.701
Er: 0.299 0.000 0.299
Er: 0.701 0.000 0.701
Er: 0.799 0.500 0.299
Mg: 0.000 0.500 0.500
Mg: 0.500 0.000 0.500


2.
The following is a computed powder diffractogram of K4Sr2SnAs4. It was derived from a GGA-PBE-relaxed structure, using Cu Kα (weighted mean of Kα1 and Kα2).
Peak positions follow from Bragg's law for the DFT cell and can differ from measured ones.

The 6 most intense peaks (10 to 80 degrees two-theta), sorted by position:
2θ = 14.59°, rel. 43; 2θ = 29.43°, rel. 53; 2θ = 30.33°, rel. 49; 2θ = 31.12°, rel. 50; 2θ = 34.01°, rel. 46; 2θ = 34.13°, rel. 100

Atomic structure:
abc: 10.514 10.514 7.758
angles: 91.84 91.84 119.68
Sites, in units of the cell vectors:
K: 0.060 0.354 0.461
K: 0.073 0.927 0.500
K: 0.256 0.725 0.650
K: 0.342 0.490 0.933
K: 0.354 0.060 0.961
K: 0.490 0.342 0.433
K: 0.725 0.256 0.150
K: 0.927 0.073 0.000
Sr: 0.141 0.675 0.157
Sr: 0.675 0.141 0.657
Sr: 0.676 0.725 0.646
Sr: 0.725 0.676 0.146
Sn: 0.539 0.870 0.266
Sn: 0.870 0.539 0.766
As: 0.001 0.396 0.876
As: 0.396 0.001 0.376
As: 0.405 0.592 0.352
As: 0.557 0.872 0.920
As: 0.592 0.405 0.852
As: 0.812 0.999 0.410
As: 0.872 0.557 0.420
As: 0.999 0.812 0.910